For DyY8Tm3, a DFT-relaxed cell (GGA-PBE, Alexandria) gives the calculated XRD peak list in this record (Cu Kα).
Lines closer than 0.1° are merged.

Crystal structure
```
data_DyY8Tm3
_space_group_name_H-M_alt 'P 1'
_space_group_IT_number 1
_cell_length_a 6.737
_cell_length_b 6.737
_cell_length_c 9.853
_cell_angle_alpha 90.00
_cell_angle_beta 90.00
_cell_angle_gamma 118.02
loop_
_space_group_symop_operation_xyz
'x,y,z'
loop_
_atom_site_label
_atom_site_fract_x
_atom_site_fract_y
_atom_site_fract_z
Dy1 0.000 0.000 0.000
Y1 0.250 0.250 0.313
Y2 0.250 0.250 0.687
Y3 0.251 0.749 0.188
Y4 0.251 0.749 0.812
Y5 0.749 0.251 0.188
Y6 0.749 0.251 0.812
Y7 0.750 0.750 0.313
Y8 0.750 0.750 0.687
Tm1 0.000 0.500 0.500
Tm2 0.500 0.000 0.500
Tm3 0.500 0.500 0.000
```

Peak list (10 most intense, 2θ from 5° to 70°, in order of falling intensity)
2theta, I/Imax
35.25, 100
31.33, 89
27.25, 63
30.97, 50
41.72, 40
17.80, 28
62.67, 24
57.89, 24
63.09, 23
53.48, 19